[1]
Diffraction record for LiMnCl3. The powder diffractogram is simulated, not measured: it uses a DFT-relaxed cell (GGA-PBE, Alexandria) and a wavelength of 1.5418 Å.
Neutral-atom scattering factors, no anomalous dispersion.

Structure:
```
data_LiMnCl3
_chemical_formula_sum 'Li2 Mn2 Cl6'
_symmetry_space_group_name_H-M 'P 1'
_symmetry_Int_Tables_number 1
_cell_length_a 3.8630
_cell_length_b 10.8075
_cell_length_c 10.8075
_cell_angle_alpha 146.16
_cell_angle_beta 90.00
_cell_angle_gamma 90.00
loop_
_symmetry_equiv_pos_as_xyz
'x,y,z'
loop_
_atom_site_label
_atom_site_type_symbol
_atom_site_fract_x
_atom_site_fract_y
_atom_site_fract_z
Li1 Li 0.2500 0.1276 0.8724
Li2 Li 0.7500 0.8724 0.1276
Mn1 Mn 0.2500 0.4026 0.7445
Mn2 Mn 0.7500 0.7445 0.4026
Cl1 Cl 0.2500 0.0261 0.5644
Cl2 Cl 0.2500 0.4980 0.2504
Cl3 Cl 0.2500 0.7556 0.9297
Cl4 Cl 0.7500 0.2504 0.4980
Cl5 Cl 0.7500 0.5644 0.0261
Cl6 Cl 0.7500 0.9297 0.7556
```

Largest 6 diffraction maxima, low angle first, 5 to 70 degrees two-theta:
2θ (°)	I/Imax
8.55	100
17.15	25
19.10	53
30.08	72
38.76	27
40.91	30

***

[2]
Diffraction record for SrCa4In2. The powder diffractogram is simulated, not measured: it uses a DFT-relaxed cell (GGA-PBE, Alexandria) and a wavelength of 1.5418 Å.
Neutral-atom scattering factors, no anomalous dispersion.

Structure:
```
data_SrCa4In2
_chemical_formula_sum 'Sr1 Ca4 In2'
_symmetry_space_group_name_H-M 'P 1'
_symmetry_Int_Tables_number 1
_cell_length_a 9.4720
_cell_length_b 9.4720
_cell_length_c 9.4720
_cell_angle_alpha 34.58
_cell_angle_beta 34.58
_cell_angle_gamma 34.58
loop_
_symmetry_equiv_pos_as_xyz
'x,y,z'
loop_
_atom_site_label
_atom_site_type_symbol
_atom_site_fract_x
_atom_site_fract_y
_atom_site_fract_z
Sr1 Sr 0.0000 0.0000 0.0000
Ca1 Ca 0.1372 0.1372 0.1372
Ca2 Ca 0.3982 0.3982 0.3982
Ca3 Ca 0.6018 0.6018 0.6018
Ca4 Ca 0.8628 0.8628 0.8628
In1 In 0.2592 0.2592 0.2592
In2 In 0.7408 0.7408 0.7408
```

Largest 6 diffraction maxima, low angle first, 5 to 70 degrees two-theta:
2θ (°)	I/Imax
19.38	25
22.59	25
29.74	39
31.79	100
32.52	62
57.10	23

***

Please write out number 1 again, unchanged.
Diffraction record for LiMnCl3. The powder diffractogram is simulated, not measured: it uses a DFT-relaxed cell (GGA-PBE, Alexandria) and a wavelength of 1.5418 Å.
Neutral-atom scattering factors, no anomalous dispersion.

Structure:
```
data_LiMnCl3
_chemical_formula_sum 'Li2 Mn2 Cl6'
_symmetry_space_group_name_H-M 'P 1'
_symmetry_Int_Tables_number 1
_cell_length_a 3.8630
_cell_length_b 10.8075
_cell_length_c 10.8075
_cell_angle_alpha 146.16
_cell_angle_beta 90.00
_cell_angle_gamma 90.00
loop_
_symmetry_equiv_pos_as_xyz
'x,y,z'
loop_
_atom_site_label
_atom_site_type_symbol
_atom_site_fract_x
_atom_site_fract_y
_atom_site_fract_z
Li1 Li 0.2500 0.1276 0.8724
Li2 Li 0.7500 0.8724 0.1276
Mn1 Mn 0.2500 0.4026 0.7445
Mn2 Mn 0.7500 0.7445 0.4026
Cl1 Cl 0.2500 0.0261 0.5644
Cl2 Cl 0.2500 0.4980 0.2504
Cl3 Cl 0.2500 0.7556 0.9297
Cl4 Cl 0.7500 0.2504 0.4980
Cl5 Cl 0.7500 0.5644 0.0261
Cl6 Cl 0.7500 0.9297 0.7556
```

Largest 6 diffraction maxima, low angle first, 5 to 70 degrees two-theta:
2θ (°)	I/Imax
8.55	100
17.15	25
19.10	53
30.08	72
38.76	27
40.91	30